# NbN2Cl6
Theoretical powder XRD pattern, Cu Kα, 1.54184 Å. Input: a crystal structure in the Materials Project, relaxed with PBE.
Kinematic intensities with the Lorentz-polarization factor, no thermal factor.

Cell lengths 7.1486, 7.1486, 7.1486 Å; angles 60.00, 60.00, 60.00 degrees
Fractional positions:
Nb 0.0000 0.0000 0.0000
N 0.2500 0.2500 0.2500
N 0.7500 0.7500 0.7500
Cl 0.2347 0.2347 0.7653
Cl 0.2347 0.7653 0.2347
Cl 0.2347 0.7653 0.7653
Cl 0.7653 0.2347 0.2347
Cl 0.7653 0.2347 0.7653
Cl 0.7653 0.7653 0.2347

Main lines, by intensity (2θ = 5–70°):
Position (°2θ), d [Å], I (rel.)
15.18, 5.837, 100
17.54, 5.055, 79
35.52, 2.527, 70
51.11, 1.787, 42
29.30, 3.048, 34
39.88, 2.261, 34
30.63, 2.918, 28
46.69, 1.946, 23

# NbSNCl6
Theoretical powder XRD pattern, Cu Kα, 1.54184 Å. Input: a crystal structure in the Materials Project, relaxed with PBE.
Kinematic intensities with the Lorentz-polarization factor, no thermal factor.

Cell lengths 6.5253, 12.4294, 13.0025 Å; angles 83.41, 78.48, 82.41 degrees
Fractional positions:
Nb 0.0763 0.0273 0.2205
Nb 0.1211 0.4598 0.7345
Nb 0.8789 0.5402 0.2655
Nb 0.9237 0.9727 0.7795
S 0.0796 0.2858 0.5283
S 0.4638 0.2257 0.1718
S 0.5362 0.7743 0.8282
S 0.9204 0.7142 0.4717
N 0.0589 0.3591 0.6104
N 0.3372 0.1357 0.2094
N 0.6628 0.8643 0.7906
N 0.9411 0.6409 0.3896
Cl 0.0137 0.8627 0.9296
Cl 0.0864 0.6619 0.1536
Cl 0.1041 0.8333 0.6738
Cl 0.1702 0.5629 0.8630
Cl 0.1906 0.9337 0.3726
Cl 0.1985 0.0757 0.7676
Cl 0.2013 0.4312 0.2985
Cl 0.2932 0.5602 0.5848
Cl 0.3445 0.9258 0.1119
Cl 0.3776 0.1901 0.4904
Cl 0.4068 0.3187 0.0304
Cl 0.4287 0.3389 0.7372
Cl 0.5713 0.6611 0.2628
Cl 0.5932 0.6813 0.9696
Cl 0.6224 0.8099 0.5096
Cl 0.6555 0.0742 0.8881
Cl 0.7068 0.4398 0.4152
Cl 0.7987 0.5688 0.7015
Cl 0.8015 0.9243 0.2324
Cl 0.8094 0.0663 0.6274
Cl 0.8298 0.4371 0.1370
Cl 0.8959 0.1667 0.3262
Cl 0.9136 0.3381 0.8464
Cl 0.9863 0.1373 0.0704

Main lines, by intensity (2θ = 5–70°):
Position (°2θ), d [Å], I (rel.)
13.95, 6.348, 100
17.83, 4.975, 51
30.95, 2.889, 38
19.19, 4.625, 36
18.95, 4.683, 29
30.58, 2.923, 28
21.04, 4.223, 25
14.44, 6.135, 23

# NdN2Cl5
Theoretical powder XRD pattern, Cu Kα, 1.54184 Å. Input: a crystal structure in the Materials Project, relaxed with PBE.
Kinematic intensities with the Lorentz-polarization factor, no thermal factor.

Cell lengths 9.8079, 8.3332, 10.2421 Å; angles 90.00, 90.00, 90.00 degrees
Fractional positions:
Nd 0.0313 0.2500 0.0500
Nd 0.4687 0.7500 0.5500
Nd 0.5313 0.2500 0.4500
Nd 0.9687 0.7500 0.9500
N 0.0947 0.0875 0.4518
N 0.0947 0.4125 0.4518
N 0.4053 0.5875 0.9518
N 0.4053 0.9125 0.9518
N 0.5947 0.0875 0.0482
N 0.5947 0.4125 0.0482
N 0.9053 0.5875 0.5482
N 0.9053 0.9125 0.5482
Cl 0.0420 0.2500 0.5006
Cl 0.0709 0.5521 0.1463
Cl 0.0709 0.9479 0.1463
Cl 0.2358 0.7500 0.7888
Cl 0.2411 0.7500 0.4169
Cl 0.2589 0.2500 0.9169
Cl 0.2642 0.2500 0.2888
Cl 0.4291 0.0521 0.6463
Cl 0.4291 0.4479 0.6463
Cl 0.4580 0.7500 0.0006
Cl 0.5420 0.2500 0.9994
Cl 0.5709 0.5521 0.3537
Cl 0.5709 0.9479 0.3537
Cl 0.7358 0.7500 0.7112
Cl 0.7411 0.7500 0.0831
Cl 0.7589 0.2500 0.5831
Cl 0.7642 0.2500 0.2112
Cl 0.9291 0.0521 0.8537
Cl 0.9291 0.4479 0.8537
Cl 0.9580 0.7500 0.4994

Main lines, by intensity (2θ = 5–70°):
Position (°2θ), d [Å], I (rel.)
12.50, 7.084, 100
37.94, 2.372, 43
33.75, 2.656, 41
17.32, 5.121, 41
21.33, 4.167, 40
18.09, 4.904, 39
33.20, 2.699, 38
25.14, 3.542, 36